[1]
This entry pairs a crystal structure of ScTiAs with its theoretical PXRD pattern. Radiation: Cu Ka. Structure: the GGA-PBE geometry in Alexandria.
Lines closer than 0.1° are merged.

Structure:
a b c (Å): 3.4123 3.4123 9.2556
angles (deg): 90.00 90.00 90.00
Atoms (fractional coordinates):
Sc (0.0000, 0.0000, 0.0000)
Sc (0.5000, 0.5000, 0.5000)
Ti (0.0000, 0.0000, 0.3123)
Ti (0.5000, 0.5000, 0.8123)
As (0.0000, 0.0000, 0.6786)
As (0.5000, 0.5000, 0.1786)

The 10 most intense peaks (2θ from 5° to 70°), by angle:
- 2θ = 19.18°, I = 12
- 2θ = 27.87°, I = 7
- 2θ = 37.27°, I = 63
- 2θ = 39.37°, I = 100
- 2θ = 42.24°, I = 7
- 2θ = 53.73°, I = 20
- 2θ = 56.56°, I = 6
- 2θ = 57.58°, I = 3
- 2θ = 59.97°, I = 5
- 2θ = 68.61°, I = 35

***

[2]
This entry pairs a crystal structure of ScTlAs with its theoretical PXRD pattern. Radiation: Cu Ka. Structure: the GGA-PBE geometry in Alexandria.
Lines closer than 0.1° are merged.

Structure:
a b c (Å): 4.2340 4.2340 5.1834
angles (deg): 90.00 90.00 120.00
Atoms (fractional coordinates):
Sc (0.0000, 0.0000, 0.0000)
Tl (0.6667, 0.3333, 0.4350)
As (0.3333, 0.6667, 0.8307)

The 10 most intense peaks (2θ from 5° to 70°), by angle:
- 2θ = 17.11°, I = 9
- 2θ = 24.27°, I = 24
- 2θ = 29.85°, I = 100
- 2θ = 34.61°, I = 11
- 2θ = 42.72°, I = 52
- 2θ = 46.33°, I = 5
- 2θ = 52.98°, I = 23
- 2θ = 56.10°, I = 16
- 2θ = 59.11°, I = 11
- 2θ = 62.00°, I = 8

***

[3]
This entry pairs a crystal structure of Tm2ScAs3 with its theoretical PXRD pattern. Radiation: Cu Ka. Structure: the GGA-PBE geometry in Alexandria.
Lines closer than 0.1° are merged.

Structure:
a b c (Å): 4.0101 4.0101 16.9756
angles (deg): 90.00 90.00 90.00
Atoms (fractional coordinates):
Tm (0.0000, 0.0000, 0.1664)
Tm (0.0000, 0.0000, 0.8336)
Tm (0.5000, 0.5000, 0.3336)
Tm (0.5000, 0.5000, 0.6664)
Sc (0.0000, 0.0000, 0.5000)
Sc (0.5000, 0.5000, 0.0000)
As (0.0000, 0.0000, 0.0000)
As (0.0000, 0.0000, 0.3364)
As (0.0000, 0.0000, 0.6636)
As (0.5000, 0.5000, 0.1636)
As (0.5000, 0.5000, 0.5000)
As (0.5000, 0.5000, 0.8364)

The 10 most intense peaks (2θ from 5° to 70°), by angle:
- 2θ = 10.42°, I = 14
- 2θ = 20.93°, I = 4
- 2θ = 22.79°, I = 11
- 2θ = 27.26°, I = 11
- 2θ = 31.58°, I = 100
- 2θ = 34.62°, I = 5
- 2θ = 45.26°, I = 73
- 2θ = 53.64°, I = 5
- 2θ = 56.23°, I = 26
- 2θ = 65.88°, I = 8

***

[4]
This entry pairs a crystal structure of Tm4ScAs5 with its theoretical PXRD pattern. Radiation: Cu Ka. Structure: the GGA-PBE geometry in Alexandria.
Lines closer than 0.1° are merged.

Structure:
a b c (Å): 6.9792 6.9792 6.9792
angles (deg): 99.62 99.62 131.73
Atoms (fractional coordinates):
Tm (0.0983, 0.7001, 0.7983)
Tm (0.2999, 0.0983, 0.3982)
Tm (0.7001, 0.9017, 0.6018)
Tm (0.9017, 0.2999, 0.2017)
Sc (0.5000, 0.5000, 0.0000)
As (0.0000, 0.0000, 0.0000)
As (0.2056, 0.4017, 0.6073)
As (0.4017, 0.7944, 0.1961)
As (0.5983, 0.2056, 0.8039)
As (0.7944, 0.5983, 0.3927)

The 10 most intense peaks (2θ from 5° to 70°), by angle:
- 2θ = 13.90°, I = 5
- 2θ = 18.40°, I = 5
- 2θ = 19.71°, I = 2
- 2θ = 27.09°, I = 19
- 2θ = 31.39°, I = 100
- 2θ = 44.98°, I = 74
- 2θ = 53.30°, I = 9
- 2θ = 55.87°, I = 26
- 2θ = 65.41°, I = 4
- 2θ = 65.54°, I = 8

***

[5]
This entry pairs a crystal structure of Tm3ScAs4 with its theoretical PXRD pattern. Radiation: Cu Ka. Structure: the GGA-PBE geometry in Alexandria.
Lines closer than 0.1° are merged.

Structure:
a b c (Å): 6.9589 8.0480 6.9611
angles (deg): 90.00 109.50 90.00
Atoms (fractional coordinates):
Tm (0.0000, 0.1244, 0.2500)
Tm (0.0000, 0.3737, 0.7500)
Tm (0.0000, 0.6263, 0.2500)
Tm (0.0000, 0.8756, 0.7500)
Tm (0.5000, 0.3739, 0.2500)
Tm (0.5000, 0.6261, 0.7500)
Sc (0.5000, 0.1241, 0.7500)
Sc (0.5000, 0.8759, 0.2500)
As (0.2534, 0.3712, 0.5040)
As (0.2534, 0.6288, 0.0040)
As (0.2577, 0.1207, 0.9998)
As (0.2577, 0.8793, 0.4998)
As (0.7423, 0.1207, 0.5002)
As (0.7423, 0.8793, 0.0002)
As (0.7466, 0.3712, 0.9960)
As (0.7466, 0.6288, 0.4960)

The 10 most intense peaks (2θ from 5° to 70°), by angle:
- 2θ = 10.99°, I = 3
- 2θ = 13.50°, I = 4
- 2θ = 17.44°, I = 5
- 2θ = 25.98°, I = 3
- 2θ = 27.17°, I = 15
- 2θ = 31.47°, I = 100
- 2θ = 45.11°, I = 74
- 2θ = 53.45°, I = 7
- 2θ = 56.04°, I = 26
- 2θ = 65.70°, I = 12

***

[6]
This entry pairs a crystal structure of Tm5Sc3As8 with its theoretical PXRD pattern. Radiation: Cu Ka. Structure: the GGA-PBE geometry in Alexandria.
Lines closer than 0.1° are merged.

Structure:
a b c (Å): 7.9920 7.9920 7.9920
angles (deg): 60.02 60.02 60.02
Atoms (fractional coordinates):
Tm (0.0000, 0.0000, 0.0000)
Tm (0.0000, 0.5000, 0.5000)
Tm (0.5000, 0.0000, 0.5000)
Tm (0.5000, 0.5000, 0.0000)
Tm (0.5000, 0.5000, 0.5000)
Sc (0.0000, 0.0000, 0.5000)
Sc (0.0000, 0.5000, 0.0000)
Sc (0.5000, 0.0000, 0.0000)
As (0.2425, 0.7500, 0.7500)
As (0.2463, 0.2463, 0.2463)
As (0.2500, 0.2500, 0.7575)
As (0.2500, 0.7575, 0.2500)
As (0.7500, 0.2425, 0.7500)
As (0.7500, 0.7500, 0.2425)
As (0.7537, 0.7537, 0.7537)
As (0.7575, 0.2500, 0.2500)

The 10 most intense peaks (2θ from 5° to 70°), by angle:
- 2θ = 13.57°, I = 14
- 2θ = 26.14°, I = 12
- 2θ = 27.33°, I = 10
- 2θ = 31.66°, I = 100
- 2θ = 34.59°, I = 7
- 2θ = 41.52°, I = 4
- 2θ = 45.39°, I = 73
- 2θ = 53.79°, I = 5
- 2θ = 56.39°, I = 25
- 2θ = 66.13°, I = 12